Calculated X-ray powder pattern of BaCa2ZnCo for Cu Ka, from a DFT-relaxed cell (PBE, Alexandria).
Neutral-atom scattering factors, no anomalous dispersion.

Atomic structure:
Cell: 6.135 6.135 4.687 Å, 90.00 90.00 90.00°
Fractional positions:
Ba: 0.000 0.000 0.000
Ca: 0.000 0.500 0.000
Ca: 0.500 0.000 0.000
Zn: 0.500 0.500 0.500
Co: 0.000 0.000 0.500

Most intense lines, 2θ = 10–90°, in order of rising 2θ:
Position (°2θ)	I/Imax	(hkl)
14.44	66	1 0 0
20.47	61	1 1 0
23.89	52	1 0 1
29.11	100	2 0 0
32.64	18	2 1 0
38.00	31	2 1 1
38.41	23	0 0 2
41.64	37	2 2 0
43.91	17	1 1 2
48.91	45	2 0 2
57.93	26	2 2 2
81.25	19	4 2 2